# Ac8Pr5Mg
Simulated XRD peak list, λ = 1.5418 Å (Cu Kα). Input: a cell relaxed with GGA-PBE.
Neutral-atom scattering factors, no anomalous dispersion.

The 6 most intense peaks (10 to 90 degrees two-theta), low angle first:
Position (°2θ)  I (rel.)
24.54  59
28.07  69
28.42  57
29.61  94
30.45  100
30.66  66

Atomic structure:
```
data_Ac8Pr5Mg
_chemical_formula_sum 'Ac16 Pr10 Mg2'
_symmetry_space_group_name_H-M 'C 1 2 1'
_symmetry_Int_Tables_number 5
_cell_length_a 14.022
_cell_length_b 11.661
_cell_length_c 9.782
_cell_angle_alpha 90.00
_cell_angle_beta 133.89
_cell_angle_gamma 90.00
loop_
_symmetry_equiv_pos_as_xyz
'x,y,z'
'-x,y,-z'
'x+1/2,y+1/2,z'
'-x+1/2,y+1/2,-z'
loop_
_atom_site_label
_atom_site_fract_x
_atom_site_fract_y
_atom_site_fract_z
Ac1 0.059 0.000 0.266
Ac2 0.101 0.670 0.433
Ac3 0.203 0.405 0.762
Ac4 0.246 0.489 0.191
Pr1 0.000 0.725 0.000
Pr2 0.075 0.341 0.273
Pr3 0.221 0.197 0.063
Mg1 0.000 0.179 0.500
```

# Ac15Pr4Mg
Simulated XRD peak list, λ = 1.5418 Å (Cu Kα). Input: a cell relaxed with GGA-PBE.
Neutral-atom scattering factors, no anomalous dispersion.

The 6 most intense peaks (10 to 90 degrees two-theta), low angle first:
Position (°2θ)  I (rel.)
27.96  100
32.40  51
46.47  38
55.11  47
57.79  14
86.21  14

Atomic structure:
```
data_Ac15Pr4Mg
_chemical_formula_sum 'Ac15 Pr4 Mg1'
_symmetry_space_group_name_H-M 'P 4/m m m'
_symmetry_Int_Tables_number 123
_symmetry_space_group_name_Hall '-P 4 2'
_cell_length_a 5.528
_cell_length_b 5.528
_cell_length_c 27.628
_cell_angle_alpha 90.00
_cell_angle_beta 90.00
_cell_angle_gamma 90.00
loop_
_atom_site_label
_atom_site_fract_x
_atom_site_fract_y
_atom_site_fract_z
Ac1 0.000 0.000 0.000
Ac2 0.000 0.000 0.198
Ac3 0.000 0.000 0.399
Ac4 0.000 0.500 0.098
Ac5 0.000 0.500 0.298
Ac6 0.000 0.500 0.500
Pr1 0.500 0.500 0.197
Pr2 0.500 0.500 0.400
Mg1 0.500 0.500 0.000
```

# Ac2Pr6Mg
Simulated XRD peak list, λ = 1.5418 Å (Cu Kα). Input: a cell relaxed with GGA-PBE.
Neutral-atom scattering factors, no anomalous dispersion.

The 6 most intense peaks (10 to 90 degrees two-theta), low angle first:
Position (°2θ)  I (rel.)
27.32  17
29.18  41
29.39  43
29.67  100
30.79  20
31.87  85

Atomic structure:
```
data_Ac2Pr6Mg
_chemical_formula_sum 'Ac4 Pr12 Mg2'
_symmetry_space_group_name_H-M 'P -1'
_symmetry_Int_Tables_number 2
_cell_length_a 6.753
_cell_length_b 8.871
_cell_length_c 12.040
_cell_angle_alpha 102.78
_cell_angle_beta 104.91
_cell_angle_gamma 97.77
loop_
_symmetry_equiv_pos_as_xyz
'x,y,z'
'-x,-y,-z'
loop_
_atom_site_label
_atom_site_fract_x
_atom_site_fract_y
_atom_site_fract_z
Ac1 0.098 0.332 0.405
Ac2 0.365 0.778 0.469
Pr1 0.009 0.441 0.836
Pr2 0.169 0.114 0.646
Pr3 0.264 0.993 0.218
Pr4 0.267 0.916 0.881
Pr5 0.457 0.563 0.726
Pr6 0.472 0.683 0.065
Mg1 0.126 0.227 0.036
```

# AcPr14Mg
Simulated XRD peak list, λ = 1.5418 Å (Cu Kα). Input: a cell relaxed with GGA-PBE.
Neutral-atom scattering factors, no anomalous dispersion.

The 6 most intense peaks (10 to 90 degrees two-theta), low angle first:
Position (°2θ)  I (rel.)
29.58  100
34.13  17
34.36  34
49.21  24
58.32  15
58.62  29

Atomic structure:
```
data_AcPr14Mg
_chemical_formula_sum 'Ac1 Pr14 Mg1'
_symmetry_space_group_name_H-M 'P 4/m m m'
_symmetry_Int_Tables_number 123
_symmetry_space_group_name_Hall '-P 4 2'
_cell_length_a 7.382
_cell_length_b 7.382
_cell_length_c 10.507
_cell_angle_alpha 90.00
_cell_angle_beta 90.00
_cell_angle_gamma 90.00
loop_
_atom_site_label
_atom_site_fract_x
_atom_site_fract_y
_atom_site_fract_z
Ac1 0.000 0.000 0.000
Pr1 0.000 0.000 0.500
Pr2 0.000 0.500 0.000
Pr3 0.000 0.500 0.500
Pr4 0.254 0.254 0.249
Pr5 0.500 0.500 0.500
Mg1 0.500 0.500 0.000
```